[1]
Sr3SnO: computed X-ray diffraction stick pattern (Cu Kα (λ = 1.5418 Å)), based on a PBE-relaxed structure.

Cell and atoms:
```
5
Lattice="5.1826 0.0000 0.0000 0.0000 5.1826 0.0000 0.0000 0.0000 5.1826" Properties=species:S:1:pos:R:3 pbc="T T T"
Sr 0.0000 0.0000 2.5913
Sr 0.0000 2.5913 0.0000
Sr 2.5913 0.0000 0.0000
Sn 2.5913 2.5913 2.5913
O 0.0000 0.0000 0.0000
```

Most intense lines, 15° ≤ 2θ ≤ 90°, low angle first:
- 2θ 29.86, d 2.992, rel. 100
- 2θ 34.62, d 2.591, rel. 61
- 2θ 49.76, d 1.832, rel. 43
- 2θ 59.12, d 1.563, rel. 44
- 2θ 62.03, d 1.496, rel. 15
- 2θ 73.03, d 1.296, rel. 7
- 2θ 80.84, d 1.189, rel. 19
- 2θ 83.40, d 1.159, rel. 19

---

[2]
Er2Ni3B6: computed X-ray diffraction stick pattern (Cu Kα (λ = 1.5418 Å)), based on a PBE-relaxed structure.

Cell and atoms:
```
11
Lattice="3.8405 -4.3029 0.0000 3.8405 4.3029 0.0000 0.0000 0.0000 3.4577" Properties=species:S:1:pos:R:3 pbc="T T T"
Er 3.8405 2.3678 0.0000
Er 3.8405 -2.3678 0.0000
Ni 2.0852 0.0000 0.0000
Ni 3.8405 0.0000 1.7289
Ni 5.5959 0.0000 0.0000
B 0.8632 0.0000 1.7289
B 2.0400 1.2926 1.7289
B 2.0400 -1.2926 1.7289
B 5.6411 1.2926 1.7289
B 5.6411 -1.2926 1.7289
B 6.8178 0.0000 1.7289
```

Most intense lines, 15° ≤ 2θ ≤ 90°, low angle first:
- 2θ 23.16, d 3.841, rel. 23
- 2θ 25.77, d 3.458, rel. 37
- 2θ 31.22, d 2.865, rel. 51
- 2θ 33.24, d 2.695, rel. 21
- 2θ 33.34, d 2.687, rel. 16
- 2θ 40.91, d 2.206, rel. 100
- 2θ 41.99, d 2.151, rel. 18
- 2θ 47.34, d 1.920, rel. 17

---

[3]
SiAs3: computed X-ray diffraction stick pattern (Cu Kα (λ = 1.5418 Å)), based on a PBE-relaxed structure.

Cell and atoms:
```
8
Lattice="8.1078 0.0000 0.0000 -4.0539 7.0216 0.0000 0.0000 0.0000 4.3484" Properties=species:S:1:pos:R:3 pbc="T T T"
Si 0.0000 4.6811 1.0871
Si 4.0539 2.3405 3.2613
As 0.0000 3.2439 3.2613
As -1.2446 5.3996 3.2613
As 2.8093 1.6220 1.0871
As 1.2446 5.3996 3.2613
As 5.2985 1.6220 1.0871
As 4.0539 3.7777 1.0871
```

Most intense lines, 15° ≤ 2θ ≤ 90°, low angle first:
- 2θ 24.07, d 3.697, rel. 100
- 2θ 25.37, d 3.511, rel. 34
- 2θ 32.79, d 2.732, rel. 35
- 2θ 33.77, d 2.654, rel. 40
- 2θ 41.53, d 2.174, rel. 22
- 2θ 43.93, d 2.061, rel. 63
- 2θ 51.41, d 1.777, rel. 52
- 2θ 54.56, d 1.682, rel. 20